Simulated XRD peak list of ZnBi2B2O7 for Cu Kα (weighted mean of Kα1 and Kα2), from DFT lattice parameters and positions (PBE).
No peak broadening, texture or thermal motion is included.

Peak list (10 most intense, 15 to 90 degrees two-theta, in order of rising 2θ)
- d 4.954, 2θ 17.9, rel. 65, hkl 0 0 1
- d 3.899, 2θ 22.8, rel. 24, hkl 2 2 0
- d 3.504, 2θ 25.4, rel. 39, hkl 1 3 0
- d 3.469, 2θ 25.7, rel. 28, hkl 3 1 0
- d 3.064, 2θ 29.1, rel. 100, hkl 2 2 1
- d 2.862, 2θ 31.3, rel. 58, hkl 1 3 1
- d 2.842, 2θ 31.5, rel. 55, hkl 3 1 1
- d 2.477, 2θ 36.3, rel. 28, hkl 0 0 2
- d 2.023, 2θ 44.8, rel. 22, hkl 1 3 2
- d 2.016, 2θ 45.0, rel. 24, hkl 3 1 2

Crystal structure
Unit cell a=10.9549 b=11.0998 c=4.9550 alpha=90.00 beta=90.00 gamma=90.00
Fractional positions:
Zn  0.2424  0.2402  0.0000
Zn  0.2576  0.7402  0.0000
Zn  0.7424  0.2598  0.0000
Zn  0.7576  0.7598  0.0000
Bi  0.0156  0.3130  0.5084
Bi  0.1792  0.9677  0.5129
Bi  0.3208  0.4677  0.5129
Bi  0.4844  0.8130  0.5084
Bi  0.5156  0.1870  0.5084
Bi  0.6792  0.5323  0.5129
Bi  0.8208  0.0323  0.5129
Bi  0.9844  0.6870  0.5084
B  0.0138  0.8729  0.0565
B  0.1157  0.5202  0.0116
B  0.3843  0.0202  0.0116
B  0.4862  0.3729  0.0565
B  0.5138  0.6271  0.0565
B  0.6157  0.9798  0.0116
B  0.8843  0.4798  0.0116
B  0.9862  0.1271  0.0565
O  0.0000  0.0000  0.1483
O  0.0000  0.5000  0.8884
O  0.0210  0.8598  0.7613
O  0.0879  0.2004  0.1789
O  0.1278  0.8256  0.1996
O  0.1345  0.4796  0.2681
O  0.1970  0.5836  0.8596
O  0.2006  0.3252  0.6677
O  0.2994  0.8252  0.6677
O  0.3030  0.0836  0.8596
O  0.3655  0.9796  0.2681
O  0.3722  0.3256  0.1996
O  0.4121  0.7004  0.1789
O  0.4790  0.3598  0.7613
O  0.5000  0.0000  0.8884
O  0.5000  0.5000  0.1483
O  0.5210  0.6402  0.7613
O  0.5879  0.2996  0.1789
O  0.6278  0.6744  0.1996
O  0.6345  0.0204  0.2681
O  0.6970  0.9164  0.8596
O  0.7006  0.1748  0.6677
O  0.7994  0.6748  0.6677
O  0.8030  0.4164  0.8596
O  0.8655  0.5204  0.2681
O  0.8722  0.1744  0.1996
O  0.9121  0.7996  0.1789
O  0.9790  0.1402  0.7613